LiFeRh2: theoretical X-ray powder pattern (CuKα), based on a structure optimized by DFT (GGA-PBE).

Cell and atoms:
a b c (Å): 5.9373 5.9373 5.9373
angles (deg): 90.00 90.00 90.00
Fractional coordinates of all 16 atoms:
Li 0.0000 0.0000 0.0000
Li 0.0000 0.5000 0.5000
Li 0.5000 0.0000 0.5000
Li 0.5000 0.5000 0.0000
Fe 0.0000 0.0000 0.5000
Fe 0.0000 0.5000 0.0000
Fe 0.5000 0.0000 0.0000
Fe 0.5000 0.5000 0.5000
Rh 0.2500 0.2500 0.2500
Rh 0.2500 0.2500 0.7500
Rh 0.2500 0.7500 0.2500
Rh 0.2500 0.7500 0.7500
Rh 0.7500 0.2500 0.2500
Rh 0.7500 0.2500 0.7500
Rh 0.7500 0.7500 0.2500
Rh 0.7500 0.7500 0.7500

Most intense lines, 10° ≤ 2θ ≤ 80°, by angle:
2theta  I (rel.)
26.0  10
30.1  39
43.1  100
51.0  4
53.5  10
62.6  16
68.9  2
71.0  13
79.0  32

Li5FeS4: theoretical X-ray powder pattern (CuKα), based on a structure optimized by DFT (GGA-PBE).

Cell and atoms:
a b c (Å): 7.6622 7.6622 7.6622
angles (deg): 151.99 127.75 60.33
Fractional coordinates of all 10 atoms:
Li 0.0000 0.0000 0.0000
Li 0.1059 0.3236 0.7823
Li 0.4586 0.6764 0.7823
Li 0.5414 0.3236 0.2177
Li 0.8941 0.6764 0.2177
Fe 0.5000 0.0000 0.5000
S 0.2527 0.5000 0.7527
S 0.2964 0.7964 0.5000
S 0.7036 0.2036 0.5000
S 0.7473 0.5000 0.2473

Most intense lines, 10° ≤ 2θ ≤ 80°, by angle:
2theta  I (rel.)
13.4  41
14.7  100
26.9  46
27.4  50
36.4  26
36.6  82
38.8  18
40.9  15
49.1  15
50.2  54

Li3Fe4S6: theoretical X-ray powder pattern (CuKα), based on a structure optimized by DFT (GGA-PBE).

Cell and atoms:
a b c (Å): 6.4557 6.4557 6.2137
angles (deg): 90.10 90.10 120.23
Fractional coordinates of all 13 atoms:
Li 0.0000 0.0000 0.0000
Li 0.3518 0.6482 0.0000
Li 0.6482 0.3518 0.0000
Fe 0.0069 0.3360 0.6125
Fe 0.3360 0.0069 0.6125
Fe 0.6640 0.9931 0.3875
Fe 0.9931 0.6640 0.3875
S 0.0170 0.6687 0.7432
S 0.3136 0.3136 0.7621
S 0.3313 0.9830 0.2568
S 0.6687 0.0170 0.7432
S 0.6864 0.6864 0.2379
S 0.9830 0.3313 0.2568

Most intense lines, 10° ≤ 2θ ≤ 80°, by angle:
2theta  I (rel.)
14.3  100
15.9  68
21.4  78
27.7  94
31.3  38
33.0  16
40.3  74
48.8  27
49.0  54
52.5  74

Li6FeS4: theoretical X-ray powder pattern (CuKα), based on a structure optimized by DFT (GGA-PBE).

Cell and atoms:
a b c (Å): 7.3309 7.3309 7.3309
angles (deg): 150.68 65.47 122.91
Fractional coordinates of all 11 atoms:
Li 0.1234 0.0000 0.1234
Li 0.2051 0.8365 0.3687
Li 0.4678 0.8365 0.6313
Li 0.5348 0.2284 0.3064
Li 0.8766 0.0000 0.8766
Li 0.9220 0.2284 0.6936
Fe 0.5957 0.5957 0.0000
S 0.2721 0.2721 0.0000
S 0.3052 0.5456 0.7596
S 0.7587 0.2587 0.5000
S 0.7860 0.5456 0.2404

Most intense lines, 10° ≤ 2θ ≤ 80°, by angle:
2theta  I (rel.)
14.4  34
14.5  100
25.1  44
27.2  64
29.0  74
29.3  41
36.0  26
40.1  69
45.9  41
55.2  40

Li14Fe2S9: theoretical X-ray powder pattern (CuKα), based on a structure optimized by DFT (GGA-PBE).

Cell and atoms:
a b c (Å): 7.0668 7.0668 9.8598
angles (deg): 90.00 90.00 120.00
Fractional coordinates of all 25 atoms:
Li 0.0000 0.0000 0.2492
Li 0.0000 0.0000 0.7508
Li 0.0156 0.6717 0.4092
Li 0.0360 0.3596 0.0909
Li 0.3236 0.9640 0.0909
Li 0.3283 0.3438 0.4092
Li 0.3438 0.0156 0.5908
Li 0.3596 0.3236 0.9091
Li 0.6404 0.6764 0.0909
Li 0.6562 0.9844 0.4092
Li 0.6717 0.6562 0.5908
Li 0.6764 0.0360 0.9091
Li 0.9640 0.6404 0.9091
Li 0.9844 0.3283 0.5908
Fe 0.3333 0.6667 0.7556
Fe 0.6667 0.3333 0.2444
S 0.0000 0.0000 0.5000
S 0.0326 0.3414 0.8366
S 0.3088 0.9674 0.8366
S 0.3333 0.6667 0.5181
S 0.3414 0.3088 0.1634
S 0.6586 0.6912 0.8366
S 0.6667 0.3333 0.4819
S 0.6912 0.0326 0.1634
S 0.9674 0.6586 0.1634

Most intense lines, 10° ≤ 2θ ≤ 80°, by angle:
2theta  I (rel.)
17.1  100
25.2  13
26.8  92
27.1  34
31.1  15
40.0  17
44.4  53
44.8  56
52.8  22
64.9  16

Li5FeS4: theoretical X-ray powder pattern (CuKα), based on a structure optimized by DFT (GGA-PBE).

Cell and atoms:
a b c (Å): 7.7087 7.7087 7.7087
angles (deg): 152.05 128.07 60.00
Fractional coordinates of all 10 atoms:
Li 0.0000 0.0000 0.0000
Li 0.1012 0.3196 0.7816
Li 0.4602 0.6755 0.7847
Li 0.5380 0.3196 0.2184
Li 0.8909 0.6755 0.2153
Fe 0.5007 0.0007 0.5000
S 0.2490 0.4962 0.7529
S 0.2933 0.7933 0.5000
S 0.6987 0.1987 0.5000
S 0.7433 0.4962 0.2471

Most intense lines, 10° ≤ 2θ ≤ 80°, by angle:
2theta  I (rel.)
13.3  41
14.7  100
26.7  45
27.4  50
36.2  26
36.6  81
38.6  17
40.5  16
48.9  15
50.0  54